The following is a simulated powder diffractogram of MgAl2O4. It was derived from a PBE-relaxed structure, using λ = 1.5418 Å (Cu Kα).
No peak broadening, texture or thermal motion is included.

Cell and atoms:
Unit cell a=5.774 b=5.774 c=14.159 alpha=90.00 beta=90.00 gamma=120.00
Positions (direct):
1 Mg 0.000 0.000 0.000
2 Mg 0.000 0.000 0.242
3 Mg 0.333 0.667 0.331
4 Mg 0.333 0.667 0.580
5 Mg 0.333 0.667 0.958
6 Mg 0.667 0.333 0.662
7 Al 0.000 0.000 0.619
8 Al 0.006 0.503 0.122
9 Al 0.164 0.329 0.787
10 Al 0.164 0.836 0.787
11 Al 0.334 0.167 0.454
12 Al 0.497 0.503 0.122
13 Al 0.497 0.994 0.122
14 Al 0.667 0.333 0.287
15 Al 0.667 0.333 0.910
16 Al 0.671 0.836 0.787
17 Al 0.833 0.167 0.454
18 Al 0.833 0.666 0.454
19 O 0.000 0.000 0.384
20 O 0.000 0.000 0.858
21 O 0.007 0.504 0.863
22 O 0.149 0.297 0.533
23 O 0.149 0.851 0.533
24 O 0.180 0.359 0.050
25 O 0.180 0.820 0.050
26 O 0.295 0.148 0.708
27 O 0.333 0.667 0.194
28 O 0.333 0.667 0.722
29 O 0.375 0.187 0.199
30 O 0.496 0.504 0.863
31 O 0.496 0.993 0.863
32 O 0.518 0.037 0.376
33 O 0.518 0.482 0.376
34 O 0.641 0.820 0.050
35 O 0.667 0.333 0.039
36 O 0.667 0.333 0.524
37 O 0.703 0.851 0.533
38 O 0.813 0.187 0.199
39 O 0.813 0.625 0.199
40 O 0.852 0.148 0.708
41 O 0.852 0.705 0.708
42 O 0.963 0.482 0.376

Principal peaks in the range 10 to 90 degrees two-theta, sorted by position:
- d 4.717, 18.8°, I = 32
- d 2.888, 31.0°, I = 33
- d 2.463, 36.5°, I = 100
- d 2.042, 44.4°, I = 58
- d 1.667, 55.1°, I = 10
- d 1.572, 58.7°, I = 49
- d 1.444, 64.5°, I = 79
- d 1.381, 67.9°, I = 4
- d 1.292, 73.3°, I = 3
- d 1.246, 76.5°, I = 9
- d 1.179, 81.7°, I = 6
- d 1.144, 84.7°, I = 3